Diffraction record for Ba4GeSb. The powder diffractogram is theoretical, not measured: it uses a cell relaxed with PBE and Cu Kα.

Cell and atoms:
a b c (Å): 9.2524 5.2473 20.6641
angles (deg): 90.00 90.00 90.00
Space group Pnma (No. 62)
Symmetry-distinct sites (fractional):
Ba: 0.0232 0.2500 0.2165 (multiplicity 4)
Ba: 0.0248 0.2500 0.9348 (multiplicity 4)
Ba: 0.1346 0.2500 0.6484 (multiplicity 4)
Ba: 0.1410 0.2500 0.4399 (multiplicity 4)
Ge: 0.2496 0.2500 0.0608 (multiplicity 4)
Sb: 0.2293 0.7500 0.3065 (multiplicity 4)

Main lines, sorted by position (10 to 80 degrees two-theta):
(hkl), two_theta, I/Imax
2 1 0, 25.67, 30
1 1 4, 26.05, 100
0 1 5, 27.47, 24
2 1 3, 28.81, 62
3 0 4, 33.85, 23
0 2 0, 34.18, 39

***

Diffraction record for Ba2ZrGeSb. The powder diffractogram is theoretical, not measured: it uses a cell relaxed with PBE and Cu Kα.

Cell and atoms:
a b c (Å): 6.2924 6.2924 5.2786
angles (deg): 90.00 90.00 90.00
Space group P4/mmm (No. 123)
Symmetry-distinct sites (fractional):
Ba: 0.0000 0.5000 0.0000 (multiplicity 2)
Zr: 0.0000 0.0000 0.5000 (multiplicity 1)
Ge: 0.5000 0.5000 0.0000 (multiplicity 1)
Sb: 0.5000 0.5000 0.5000 (multiplicity 1)

Main lines, sorted by position (10 to 80 degrees two-theta):
(hkl), two_theta, I/Imax
1 1 1, 26.19, 100
2 0 0, 28.37, 77
2 2 0, 40.55, 29
2 0 2, 44.82, 44
3 1 1, 48.92, 35
2 2 2, 53.90, 25

***

Which formula does entry 1 have?
Ba4GeSb